No. 1
Sr4RuO6: computed powder XRD pattern (a wavelength of 1.5418 Å), based on the GGA-PBE geometry in Alexandria.

Peak list (8 most intense, 10 to 80 degrees two-theta, by intensity)
31.40 deg, I 100
28.87 deg, I 60
43.18 deg, I 39
41.25 deg, I 33
36.80 deg, I 27
56.18 deg, I 23
55.91 deg, I 18
17.98 deg, I 16

Cell and atoms:
Cell: 9.8685 9.8685 11.9036 Å, 90.00 90.00 120.00°
Space group R-3c (No. 167, hexagonal axes)
Asymmetric unit:
Sr1 0.0000 0.0000 0.2500
Sr2 0.0000 0.3647 0.2500
Ru1 0.0000 0.0000 0.0000
O1 0.0272 0.1843 0.4009


No. 2
Pr4Rh2Br: computed powder XRD pattern (a wavelength of 1.5418 Å), based on the GGA-PBE geometry in Alexandria.

Peak list (8 most intense, 10 to 80 degrees two-theta, by intensity)
28.69 deg, I 100
43.26 deg, I 40
38.69 deg, I 24
12.49 deg, I 21
37.03 deg, I 20
52.74 deg, I 18
49.73 deg, I 16
70.50 deg, I 15

Cell and atoms:
Cell: 4.1831 4.1831 42.5116 Å, 90.00 90.00 120.00°
Space group R-3m (No. 166, hexagonal axes)
Asymmetric unit:
Pr1 0.0000 0.0000 0.1280
Pr2 0.0000 0.0000 0.2771
Rh1 0.0000 0.0000 0.4257
Br1 0.0000 0.0000 0.0000


No. 3
Zr2CrIn2S6: computed powder XRD pattern (a wavelength of 1.5418 Å), based on the GGA-PBE geometry in Alexandria.

Peak list (8 most intense, 10 to 80 degrees two-theta, by intensity)
32.88 deg, I 100
32.47 deg, I 50
50.75 deg, I 42
42.75 deg, I 37
23.36 deg, I 28
29.65 deg, I 24
18.06 deg, I 19
43.37 deg, I 19

Cell and atoms:
Cell: 6.2346 10.7898 7.9334 Å, 90.00 106.25 90.00°
Space group C2/m (No. 12)
Asymmetric unit:
Zr1 0.0000 0.1677 0.0000
Cr1 0.0000 0.5000 0.0000
In1 0.0000 0.3265 0.5000
S1 0.2287 0.3410 0.1937
S2 0.2460 0.5000 0.8075


No. 4
Ce2Zn3Pt2: computed powder XRD pattern (a wavelength of 1.5418 Å), based on the GGA-PBE geometry in Alexandria.

Peak list (8 most intense, 10 to 80 degrees two-theta, by intensity)
38.43 deg, I 100
35.83 deg, I 96
38.57 deg, I 96
41.87 deg, I 67
27.30 deg, I 57
39.00 deg, I 49
22.74 deg, I 42
33.03 deg, I 40

Cell and atoms:
Cell: 9.8559 4.3156 6.9718 Å, 90.00 110.43 90.00°
Space group C2/m (No. 12)
Asymmetric unit:
Ce1 0.1426 0.0000 0.2708
Zn1 0.0000 0.5000 0.5000
Zn2 0.1189 0.5000 0.9325
Pt1 0.1501 0.0000 0.7114


No. 5
Ba2Li16Al: computed powder XRD pattern (a wavelength of 1.5418 Å), based on the GGA-PBE geometry in Alexandria.

Peak list (8 most intense, 10 to 80 degrees two-theta, by intensity)
17.00 deg, I 100
24.79 deg, I 68
11.46 deg, I 45
34.87 deg, I 35
29.66 deg, I 32
25.94 deg, I 27
34.38 deg, I 26
35.72 deg, I 25

Cell and atoms:
Cell: 10.4330 10.4330 14.8541 Å, 90.00 90.00 120.00°
Space group R3m (No. 160, hexagonal axes)
Asymmetric unit:
Ba1 0.0000 0.0000 0.0000
Ba2 0.0000 0.0000 0.3001
Li1 0.0000 0.0000 0.7393
Li2 0.9997 0.2683 0.6440
Li3 0.0172 0.5086 0.1463
Li4 0.0191 0.5095 0.4967
Li5 0.1800 0.3600 0.1313
Al1 0.0000 0.0000 0.5486


No. 6
Ca3Tl7: computed powder XRD pattern (a wavelength of 1.5418 Å), based on the GGA-PBE geometry in Alexandria.

Peak list (8 most intense, 10 to 80 degrees two-theta, by intensity)
31.52 deg, I 100
31.98 deg, I 93
36.50 deg, I 34
36.10 deg, I 34
37.85 deg, I 29
62.61 deg, I 26
18.69 deg, I 25
52.28 deg, I 24

Cell and atoms:
Cell: 17.8727 4.9229 6.8106 Å, 90.00 103.58 90.00°
Space group C2/m (No. 12)
Asymmetric unit:
Ca1 0.0000 0.0000 0.0000
Ca2 0.1923 0.0000 0.6213
Tl1 0.0000 0.0000 0.5000
Tl2 0.0997 0.5000 0.8200
Tl3 0.1054 0.5000 0.3156
Tl4 0.2009 0.0000 0.1207


No. 7
NbCd2Pt9: computed powder XRD pattern (a wavelength of 1.5418 Å), based on the GGA-PBE geometry in Alexandria.

Peak list (8 most intense, 10 to 80 degrees two-theta, by intensity)
38.75 deg, I 100
45.15 deg, I 33
79.02 deg, I 26
65.52 deg, I 21
44.84 deg, I 16
78.58 deg, I 12
65.76 deg, I 11
22.13 deg, I 3

Cell and atoms:
Cell: 4.0164 4.0164 12.1273 Å, 90.00 90.00 90.00°
Space group P4/mmm (No. 123)
Asymmetric unit:
Nb1 0.0000 0.0000 0.0000
Cd1 0.0000 0.0000 0.3333
Pt1 0.0000 0.5000 0.1589
Pt2 0.0000 0.5000 0.5000
Pt3 0.5000 0.5000 0.0000
Pt4 0.5000 0.5000 0.3299


No. 8
Pm3Nd3Sm: computed powder XRD pattern (a wavelength of 1.5418 Å), based on the GGA-PBE geometry in Alexandria.

Peak list (8 most intense, 10 to 80 degrees two-theta, by intensity)
31.75 deg, I 100
30.30 deg, I 25
27.81 deg, I 24
58.88 deg, I 23
54.75 deg, I 21
49.20 deg, I 20
59.75 deg, I 16
41.59 deg, I 16

Cell and atoms:
Cell: 9.7998 9.7998 5.8994 Å, 90.00 90.00 120.00°
Space group P6_3/m (No. 176)
Asymmetric unit:
Pm1 0.0464 0.2375 0.2500
Nd1 0.0950 0.4753 0.7500
Sm1 0.3333 0.6667 0.2500